(1)
Starting from DFT lattice parameters and positions (PBE), the powder XRD pattern of LiBrO3 was computed for λ = 1.5418 Å (Cu Kα).

Most intense lines, 2θ from 15° to 90°, by intensity:
2θ = 29.2°, intensity 100
2θ = 25.4°, intensity 66
2θ = 33.3°, intensity 63
2θ = 27.8°, intensity 51
2θ = 37.0°, intensity 47
2θ = 22.8°, intensity 42
2θ = 26.4°, intensity 41
2θ = 42.3°, intensity 33
2θ = 33.7°, intensity 31
2θ = 52.2°, intensity 25

Structure:
a = 7.006 Å, b = 7.013 Å, c = 12.617 Å
α = 90.00°, β = 90.00°, γ = 90.00°
Sites, in units of the cell vectors:
Li (0.246, 0.136, 0.030)
Li (0.246, 0.364, 0.530)
Li (0.254, 0.636, 0.030)
Li (0.254, 0.864, 0.530)
Li (0.746, 0.136, 0.470)
Li (0.746, 0.364, 0.970)
Li (0.754, 0.636, 0.470)
Li (0.754, 0.864, 0.970)
Br (0.012, 0.616, 0.714)
Br (0.012, 0.884, 0.214)
Br (0.488, 0.116, 0.714)
Br (0.488, 0.384, 0.214)
Br (0.512, 0.616, 0.786)
Br (0.512, 0.884, 0.286)
Br (0.988, 0.116, 0.786)
Br (0.988, 0.384, 0.286)
O (0.016, 0.076, 0.129)
O (0.016, 0.424, 0.629)
O (0.043, 0.680, 0.138)
O (0.043, 0.820, 0.638)
O (0.223, 0.114, 0.470)
O (0.223, 0.386, 0.970)
O (0.277, 0.614, 0.470)
O (0.277, 0.886, 0.970)
O (0.457, 0.180, 0.138)
O (0.457, 0.320, 0.638)
O (0.484, 0.576, 0.129)
O (0.484, 0.924, 0.629)
O (0.516, 0.076, 0.371)
O (0.516, 0.424, 0.871)
O (0.543, 0.680, 0.362)
O (0.543, 0.820, 0.862)
O (0.723, 0.114, 0.030)
O (0.723, 0.386, 0.530)
O (0.777, 0.614, 0.030)
O (0.777, 0.886, 0.530)
O (0.957, 0.180, 0.362)
O (0.957, 0.320, 0.862)
O (0.984, 0.576, 0.371)
O (0.984, 0.924, 0.871)

---

(2)
Starting from DFT lattice parameters and positions (PBE), the powder XRD pattern of Fe3S was computed for λ = 1.5418 Å (Cu Kα).

Most intense lines, 2θ from 15° to 90°, by intensity:
2θ = 42.2°, intensity 100
2θ = 46.1°, intensity 77
2θ = 46.5°, intensity 72
2θ = 44.7°, intensity 69
2θ = 38.3°, intensity 52
2θ = 53.1°, intensity 26
2θ = 40.5°, intensity 26
2θ = 50.2°, intensity 22
2θ = 42.6°, intensity 19
2θ = 80.7°, intensity 19

Structure:
a = 4.966 Å, b = 7.017 Å, c = 5.336 Å
α = 90.00°, β = 90.00°, γ = 90.00°
Sites, in units of the cell vectors:
Fe (0.031, 0.250, 0.206)
Fe (0.233, 0.052, 0.597)
Fe (0.233, 0.448, 0.597)
Fe (0.267, 0.552, 0.097)
Fe (0.267, 0.948, 0.097)
Fe (0.469, 0.750, 0.706)
Fe (0.531, 0.250, 0.294)
Fe (0.733, 0.052, 0.903)
Fe (0.733, 0.448, 0.903)
Fe (0.767, 0.552, 0.403)
Fe (0.767, 0.948, 0.403)
Fe (0.969, 0.750, 0.794)
S (0.154, 0.750, 0.417)
S (0.346, 0.250, 0.917)
S (0.654, 0.750, 0.083)
S (0.846, 0.250, 0.583)

---

(3)
Starting from DFT lattice parameters and positions (PBE), the powder XRD pattern of Ba3LiIr2O9 was computed for λ = 1.5418 Å (Cu Kα).

Most intense lines, 2θ from 15° to 90°, by intensity:
2θ = 30.5°, intensity 100
2θ = 35.8°, intensity 42
2θ = 18.5°, intensity 41
2θ = 30.4°, intensity 38
2θ = 54.2°, intensity 35
2θ = 17.5°, intensity 26
2θ = 47.7°, intensity 25
2θ = 57.7°, intensity 24
2θ = 43.6°, intensity 23
2θ = 63.5°, intensity 18

Structure:
a = 5.859 Å, b = 5.859 Å, c = 14.451 Å
α = 90.00°, β = 90.00°, γ = 120.00°
Sites, in units of the cell vectors:
Ba (0.000, 0.000, 0.250)
Ba (0.000, 0.000, 0.750)
Ba (0.333, 0.667, 0.083)
Ba (0.333, 0.667, 0.417)
Ba (0.667, 0.333, 0.583)
Ba (0.667, 0.333, 0.917)
Li (0.000, 0.000, 0.000)
Li (0.000, 0.000, 0.500)
Ir (0.333, 0.667, 0.656)
Ir (0.333, 0.667, 0.844)
Ir (0.667, 0.333, 0.156)
Ir (0.667, 0.333, 0.344)
O (0.032, 0.516, 0.750)
O (0.174, 0.348, 0.584)
O (0.174, 0.348, 0.916)
O (0.174, 0.826, 0.584)
O (0.174, 0.826, 0.916)
O (0.348, 0.174, 0.084)
O (0.348, 0.174, 0.416)
O (0.484, 0.516, 0.750)
O (0.484, 0.968, 0.750)
O (0.516, 0.032, 0.250)
O (0.516, 0.484, 0.250)
O (0.652, 0.826, 0.584)
O (0.652, 0.826, 0.916)
O (0.826, 0.174, 0.084)
O (0.826, 0.174, 0.416)
O (0.826, 0.652, 0.084)
O (0.826, 0.652, 0.416)
O (0.968, 0.484, 0.250)

---

(4)
Starting from DFT lattice parameters and positions (PBE), the powder XRD pattern of Mg14CdBiO16 was computed for λ = 1.5418 Å (Cu Kα).

Most intense lines, 2θ from 15° to 90°, by intensity:
2θ = 22.4°, intensity 100
2θ = 35.1°, intensity 78
2θ = 40.5°, intensity 67
2θ = 20.0°, intensity 66
2θ = 40.6°, intensity 66
2θ = 41.1°, intensity 62
2θ = 28.6°, intensity 58
2θ = 30.2°, intensity 51
2θ = 58.7°, intensity 40
2θ = 59.2°, intensity 38

Structure:
a = 4.439 Å, b = 8.787 Å, c = 8.916 Å
α = 90.00°, β = 90.00°, γ = 90.00°
Sites, in units of the cell vectors:
Mg (0.000, 0.000, 0.000)
Mg (0.000, 0.000, 0.500)
Mg (0.000, 0.239, 0.242)
Mg (0.000, 0.239, 0.758)
Mg (0.000, 0.761, 0.242)
Mg (0.000, 0.761, 0.758)
Mg (0.500, 0.000, 0.248)
Mg (0.500, 0.000, 0.752)
Mg (0.500, 0.235, 0.500)
Mg (0.500, 0.243, 0.000)
Mg (0.500, 0.500, 0.237)
Mg (0.500, 0.500, 0.763)
Mg (0.500, 0.757, 0.000)
Mg (0.500, 0.765, 0.500)
Cd (0.000, 0.500, 0.000)
Bi (0.000, 0.500, 0.500)
O (0.000, 0.000, 0.252)
O (0.000, 0.000, 0.748)
O (0.000, 0.228, 0.000)
O (0.000, 0.231, 0.500)
O (0.000, 0.500, 0.247)
O (0.000, 0.500, 0.753)
O (0.000, 0.769, 0.500)
O (0.000, 0.772, 0.000)
O (0.500, 0.000, 0.000)
O (0.500, 0.000, 0.500)
O (0.500, 0.250, 0.253)
O (0.500, 0.250, 0.747)
O (0.500, 0.500, 0.000)
O (0.500, 0.500, 0.500)
O (0.500, 0.750, 0.253)
O (0.500, 0.750, 0.747)

---

(5)
Starting from DFT lattice parameters and positions (PBE), the powder XRD pattern of ErInPd2 was computed for λ = 1.5418 Å (Cu Kα).

Most intense lines, 2θ from 15° to 90°, by intensity:
2θ = 37.6°, intensity 100
2θ = 67.8°, intensity 34
2θ = 54.2°, intensity 17
2θ = 80.2°, intensity 11
2θ = 22.7°, intensity 2
2θ = 26.3°, intensity 2
2θ = 44.4°, intensity 1
2θ = 61.2°, intensity 1
2θ = 46.5°, intensity 1
2θ = 59.5°, intensity 1

Structure:
a = 4.787 Å, b = 4.787 Å, c = 4.787 Å
α = 60.00°, β = 60.00°, γ = 60.00°
Sites, in units of the cell vectors:
Er (0.000, 0.000, 0.000)
In (0.500, 0.500, 0.500)
Pd (0.250, 0.250, 0.250)
Pd (0.750, 0.750, 0.750)